# 1
Calculated powder diffraction line list
Compound: CaIn3Rh3
Radiation: a wavelength of 1.5418 Å
Structure: a cell relaxed with PBE

abc: 7.235 7.235 7.235
angles: 90.00 90.00 90.00
Sites, in units of the cell vectors:
Ca1 0.000 0.000 0.000
Ca2 0.500 0.500 0.500
In1 0.000 0.250 0.500
In2 0.000 0.750 0.500
In3 0.250 0.500 0.000
In4 0.500 0.000 0.250
In5 0.500 0.000 0.750
In6 0.750 0.500 0.000
Rh1 0.000 0.500 0.250
Rh2 0.000 0.500 0.750
Rh3 0.250 0.000 0.500
Rh4 0.500 0.250 0.000
Rh5 0.500 0.750 0.000
Rh6 0.750 0.000 0.500

Main lines, sorted by position (2θ from 5° to 70°):
| d_spacing | two_theta | intensity |
| --- | --- | --- |
| 5.116 | 17.3 | 88.7 |
| 3.617 | 24.6 | 42.7 |
| 2.954 | 30.3 | 100.0 |
| 2.088 | 43.3 | 68.4 |
| 1.934 | 47.0 | 57.1 |
| 1.809 | 50.5 | 41.6 |

=====

# 2
Calculated powder diffraction line list
Compound: CsGe2Pt5
Radiation: a wavelength of 1.5418 Å
Structure: a cell relaxed with PBE

abc: 6.717 6.717 6.717
angles: 145.26 113.37 77.38
Sites, in units of the cell vectors:
Cs1 0.000 0.000 0.000
Ge1 0.262 0.762 0.500
Ge2 0.738 0.238 0.500
Pt1 0.152 0.342 0.810
Pt2 0.468 0.658 0.810
Pt3 0.500 0.000 0.500
Pt4 0.532 0.342 0.190
Pt5 0.848 0.658 0.190

Main lines, sorted by position (2θ from 5° to 70°):
| d_spacing | two_theta | intensity |
| --- | --- | --- |
| 6.035 | 14.7 | 20.1 |
| 2.632 | 34.1 | 100.0 |
| 2.137 | 42.3 | 20.6 |
| 2.097 | 43.1 | 22.8 |
| 2.005 | 45.2 | 18.4 |
| 1.462 | 63.6 | 14.4 |

=====

# 3
Calculated powder diffraction line list
Compound: MgPdW
Radiation: a wavelength of 1.5418 Å
Structure: a cell relaxed with PBE

abc: 5.779 5.779 6.040
angles: 106.92 106.92 31.64
Sites, in units of the cell vectors:
Mg1 0.000 0.000 0.000
Mg2 0.000 0.000 0.500
Pd1 0.342 0.342 0.664
Pd2 0.658 0.658 0.336
W1 0.306 0.306 0.157
W2 0.694 0.694 0.843

Main lines, sorted by position (2θ from 5° to 70°):
| d_spacing | two_theta | intensity |
| --- | --- | --- |
| 5.300 | 16.7 | 100.0 |
| 2.352 | 38.3 | 93.2 |
| 2.333 | 38.6 | 41.8 |
| 2.259 | 39.9 | 41.5 |
| 2.180 | 41.4 | 84.4 |
| 1.575 | 58.6 | 21.7 |

=====

# 4
Calculated powder diffraction line list
Compound: Pm3Cd2Rh
Radiation: a wavelength of 1.5418 Å
Structure: a cell relaxed with PBE

abc: 8.249 8.249 7.636
angles: 90.00 90.00 143.31
Sites, in units of the cell vectors:
Pm1 0.000 0.000 0.236
Pm2 0.000 0.000 0.764
Pm3 0.325 0.675 0.223
Pm4 0.325 0.675 0.777
Pm5 0.675 0.325 0.223
Pm6 0.675 0.325 0.777
Cd1 0.165 0.835 0.500
Cd2 0.500 0.500 0.000
Cd3 0.500 0.500 0.500
Cd4 0.835 0.165 0.500
Rh1 0.151 0.849 0.000
Rh2 0.849 0.151 0.000

Main lines, sorted by position (2θ from 5° to 70°):
| d_spacing | two_theta | intensity |
| --- | --- | --- |
| 2.650 | 33.8 | 100.0 |
| 2.610 | 34.4 | 23.6 |
| 2.596 | 34.6 | 25.3 |
| 1.840 | 49.5 | 16.6 |
| 1.514 | 61.2 | 15.1 |
| 1.509 | 61.4 | 17.4 |